Structure and computed powder X-ray diffraction pattern of BaNpMnO5 (the GGA+U geometry in Alexandria; Cu Kα (weighted mean of Kα1 and Kα2)).
Peak positions follow from Bragg's law for the DFT cell and can differ from measured ones.

The 10 most intense peaks (10 to 90 degrees two-theta), in order of rising 2θ:
15.80°, intensity 63
23.61°, intensity 100
26.32°, intensity 61
29.86°, intensity 76
30.12°, intensity 54
32.38°, intensity 34
33.59°, intensity 25
37.62°, intensity 23
47.31°, intensity 20
48.71°, intensity 24

Structural model:
abc: 6.2606 6.2606 8.1915
angles: 105.22 105.22 106.09
Sites, in units of the cell vectors:
Ba: 0.1735 0.8265 0.7500
Ba: 0.8265 0.1735 0.2500
Np: 0.5000 0.5000 0.0000
Np: 0.5000 0.5000 0.5000
Mn: 0.1924 0.8076 0.2500
Mn: 0.8076 0.1924 0.7500
O: 0.1574 0.2659 0.9005
O: 0.2164 0.6081 0.4126
O: 0.2659 0.1574 0.4005
O: 0.3919 0.7836 0.0874
O: 0.4414 0.5586 0.7500
O: 0.5586 0.4414 0.2500
O: 0.6081 0.2164 0.9126
O: 0.7341 0.8426 0.5995
O: 0.7836 0.3919 0.5874
O: 0.8426 0.7341 0.0995